Diffraction record for Hf2HgAu3. The powder diffractogram is computed, not measured: it uses a GGA-PBE-relaxed structure and a wavelength of 1.5418 Å.
Peak positions follow from Bragg's law for the DFT cell and can differ from measured ones.

Cell and atoms:
Unit cell a=3.563 b=3.563 c=9.033 alpha=90.00 beta=90.00 gamma=90.00
Fractional positions:
Hf (0.000, 0.000, 0.000)
Hf (0.500, 0.500, 0.480)
Hg (0.500, 0.500, 0.818)
Au (0.000, 0.000, 0.322)
Au (0.000, 0.000, 0.649)
Au (0.500, 0.500, 0.160)

Peak list (10 most intense, 2θ = 10–90°, by angle)
2θ/deg	d_spacing	I/Imax	(hkl)
35.64	2.519	66	1 1 0
39.17	2.300	100	1 0 3
51.28	1.781	24	2 0 0
61.61	1.505	6	0 0 6
66.38	1.408	43	2 1 3
73.25	1.292	16	1 1 6
75.47	1.260	8	2 2 0
84.20	1.150	11	2 0 6
86.35	1.127	11	3 1 0
88.50	1.105	11	3 0 3